# AcScWO6
Computed powder XRD pattern, Cu Kα X-rays. Input: a structure optimized by DFT (GGA+U).
Kinematic intensities with the Lorentz-polarization factor, no thermal factor.

Main lines, low angle first (15 to 90 degrees two-theta):
d 4.286, 20.72°, I 22, (1 0 1); d 3.514, 25.35°, I 100, (1 0 2); d 2.704, 33.13°, I 35, (1 1 0); d 2.658, 33.72°, I 9, (0 0 4); d 2.143, 42.17°, I 25, (2 0 2); d 1.895, 48.00°, I 37, (1 1 4); d 1.680, 54.65°, I 24, (2 1 2); d 1.657, 55.45°, I 11, (1 0 6); d 1.561, 59.18°, I 11, (3 0 0); d 1.346, 69.88°, I 8, (3 0 4); d 1.262, 75.31°, I 10, (4 -1 2); d 1.252, 75.99°, I 9, (3 -1 6)

Atomic structure:
Lattice parameters (Å, degrees): 5.408 5.408 10.631 90.00 90.00 120.00
Sites, in units of the cell vectors:
Ac (0.000, 0.000, 0.000)
Ac (0.000, 0.000, 0.500)
Sc (0.333, 0.667, 0.250)
Sc (0.667, 0.333, 0.750)
W (0.333, 0.667, 0.750)
W (0.667, 0.333, 0.250)
O (0.022, 0.383, 0.646)
O (0.022, 0.638, 0.854)
O (0.362, 0.383, 0.854)
O (0.362, 0.978, 0.646)
O (0.383, 0.022, 0.146)
O (0.383, 0.362, 0.354)
O (0.617, 0.638, 0.646)
O (0.617, 0.978, 0.854)
O (0.638, 0.022, 0.354)
O (0.638, 0.617, 0.146)
O (0.978, 0.362, 0.146)
O (0.978, 0.617, 0.354)